(1)
Computed X-ray powder pattern of LiCeTi4O12 for Cu Ka, from DFT lattice parameters and positions (PBE).
Peak positions follow from Bragg's law for the DFT cell and can differ from measured ones.

Atomic structure:
Cell lengths 7.766, 5.327, 5.327 Å; angles 89.40, 90.00, 90.00 degrees
Fractional positions:
Li  0.000  0.000  0.000
Ce  0.500  0.461  0.461
Ti  0.229  0.491  0.969
Ti  0.229  0.969  0.491
Ti  0.771  0.491  0.969
Ti  0.771  0.969  0.491
O  0.000  0.005  0.390
O  0.000  0.390  0.005
O  0.184  0.791  0.791
O  0.274  0.278  0.687
O  0.274  0.687  0.278
O  0.309  0.219  0.219
O  0.500  0.539  0.909
O  0.500  0.909  0.539
O  0.691  0.219  0.219
O  0.726  0.278  0.687
O  0.726  0.687  0.278
O  0.816  0.791  0.791

Largest 12 diffraction maxima, most intense first, 2θ = 5–70°:
two_theta, I (rel.)
20.22, 100.0
16.64, 58.9
11.39, 49.6
33.23, 47.8
33.65, 41.2
33.04, 33.5
26.19, 29.9
28.44, 28.0
26.41, 24.7
48.06, 21.5
49.08, 21.4
60.03, 21.2

=====

(2)
Computed X-ray powder pattern of ZrCrNi6 for Cu Ka, from DFT lattice parameters and positions (PBE).
Peak positions follow from Bragg's law for the DFT cell and can differ from measured ones.

Atomic structure:
Cell lengths 6.341, 6.341, 10.379 Å; angles 90.00, 90.00, 109.75 degrees
Fractional positions:
Zr  0.000  0.000  0.246
Zr  0.000  0.000  0.754
Zr  0.246  0.754  0.500
Zr  0.754  0.246  0.500
Cr  0.242  0.758  0.000
Cr  0.500  0.500  0.243
Cr  0.500  0.500  0.757
Cr  0.758  0.242  0.000
Ni  0.000  0.000  0.000
Ni  0.000  0.000  0.500
Ni  0.130  0.385  0.120
Ni  0.130  0.385  0.880
Ni  0.136  0.381  0.369
Ni  0.136  0.381  0.631
Ni  0.255  0.745  0.241
Ni  0.255  0.745  0.759
Ni  0.381  0.136  0.369
Ni  0.381  0.136  0.631
Ni  0.385  0.130  0.120
Ni  0.385  0.130  0.880
Ni  0.500  0.500  0.000
Ni  0.500  0.500  0.500
Ni  0.615  0.870  0.120
Ni  0.615  0.870  0.880
Ni  0.619  0.864  0.369
Ni  0.619  0.864  0.631
Ni  0.745  0.255  0.241
Ni  0.745  0.255  0.759
Ni  0.864  0.619  0.369
Ni  0.864  0.619  0.631
Ni  0.870  0.615  0.120
Ni  0.870  0.615  0.880

Largest 7 diffraction maxima, most intense first, 2θ = 5–70°:
two_theta, I (rel.)
42.78, 100.0
49.71, 31.2
50.01, 15.4
35.76, 1.0
33.48, 0.8
43.62, 0.6
38.00, 0.6

=====

(3)
Computed X-ray powder pattern of Ac2MnSb4Pt3 for Cu Ka, from DFT lattice parameters and positions (PBE).
Peak positions follow from Bragg's law for the DFT cell and can differ from measured ones.

Atomic structure:
Cell lengths 4.727, 4.727, 10.792 Å; angles 90.00, 90.00, 90.00 degrees
Fractional positions:
Ac  0.000  0.500  0.247
Ac  0.500  0.000  0.753
Mn  0.500  0.500  0.000
Sb  0.000  0.000  0.500
Sb  0.000  0.500  0.872
Sb  0.500  0.000  0.128
Sb  0.500  0.500  0.500
Pt  0.000  0.000  0.000
Pt  0.000  0.500  0.624
Pt  0.500  0.000  0.376

Largest 12 diffraction maxima, most intense first, 2θ = 5–70°:
two_theta, I (rel.)
31.48, 100.0
31.25, 91.4
38.07, 83.1
50.05, 50.1
46.24, 32.3
54.94, 28.9
26.67, 28.6
61.39, 28.1
64.71, 25.6
43.09, 21.8
58.25, 16.7
64.57, 11.8